Structure and simulated powder diffractogram of Sr2TaS4 (DFT lattice parameters and positions (GGA-PBE); Cu Kα (weighted mean of Kα1 and Kα2)).
Neutral-atom scattering factors, no anomalous dispersion.

Principal peaks in the range 10° ≤ 2θ ≤ 80°, sorted by position:
h k l	Position (°2θ)	Rel. int.
1 0 -1	14.5	60
0 1 1	17.3	82
1 0 1	19.6	48
2 0 0	26.2	66
0 2 0	26.3	100
2 1 -1	28.6	33
2 1 -2	32.2	64
1 1 2	32.4	68
2 2 0	37.5	58
1 0 -4	44.3	30

Structural model:
a b c (Å): 7.121 6.770 8.179
angles (deg): 90.00 107.03 90.00
Sites, in units of the cell vectors:
Sr 0.213 0.250 0.053
Sr 0.247 0.250 0.563
Sr 0.753 0.750 0.437
Sr 0.787 0.750 0.947
Ta 0.254 0.750 0.808
Ta 0.746 0.250 0.192
S 0.008 0.504 0.745
S 0.008 0.996 0.745
S 0.431 0.750 0.092
S 0.439 0.750 0.621
S 0.561 0.250 0.379
S 0.569 0.250 0.908
S 0.992 0.004 0.255
S 0.992 0.496 0.255